Diffraction record for Sm2V2O5. The XRD peak list is calculated, not measured: it uses the PBE+U geometry in Alexandria and CuKα.
Kinematic intensities with the Lorentz-polarization factor, no thermal factor.

Structural model:
```
Sm2V2O5
1.0
-7.837 2.903 2.750
7.837 -2.903 2.750
7.837 2.903 -2.750
Sm V O
4 4 10
direct
0.010 0.111 0.121
0.010 0.389 0.399
0.990 0.611 0.601
0.990 0.889 0.879
0.424 0.721 0.203
0.518 0.221 0.797
0.522 0.022 0.500
0.522 0.522 0.000
0.022 0.292 0.798
0.022 0.724 0.230
0.178 0.830 0.848
0.465 0.198 0.538
0.465 0.428 0.767
0.494 0.224 0.202
0.494 0.792 0.770
0.661 0.698 0.233
0.661 0.928 0.462
0.981 0.330 0.152
```

Main lines, sorted by position (2θ = 10–90°):
2theta	I (rel.)
22.27	36
22.69	15
30.80	33
32.00	100
32.56	32
38.60	12
40.06	11
41.30	13
45.43	29
55.54	23
57.76	29
66.92	10